This entry pairs a crystal structure of Ti2NiP2O10 with its computed powder diffraction line list. Radiation: CuKα. Structure: a crystal structure in Alexandria, relaxed with PBE+U.

Structural model:
```
Ti2NiP2O10
1.0
6.5176 0.0000 0.0000
0.0000 7.3990 0.0000
-0.1287 0.0000 7.4029
Ti Ni P O
4 2 4 20
direct
0.2381 0.2223 0.1599 Ti
0.2381 0.2777 0.6599 Ti
0.7619 0.7223 0.3401 Ti
0.7619 0.7777 0.8401 Ti
0.5000 0.0000 0.5000 Ni
0.5000 0.5000 0.0000 Ni
0.2550 0.6234 0.3706 P
0.2550 0.8766 0.8706 P
0.7450 0.1234 0.1294 P
0.7450 0.3766 0.6294 P
0.0553 0.7339 0.3554 O
0.0553 0.7661 0.8554 O
0.2523 0.5095 0.5454 O
0.2523 0.9905 0.0454 O
0.2749 0.1600 0.3864 O
0.2749 0.3400 0.8864 O
0.2775 0.0035 0.7039 O
0.2775 0.4965 0.2039 O
0.4380 0.7446 0.8751 O
0.4380 0.7554 0.3751 O
0.5620 0.2446 0.6249 O
0.5620 0.2554 0.1249 O
0.7225 0.5035 0.7961 O
0.7225 0.9965 0.2961 O
0.7251 0.6600 0.1136 O
0.7251 0.8400 0.6136 O
0.7477 0.0095 0.9546 O
0.7477 0.4905 0.4546 O
0.9447 0.2339 0.1446 O
0.9447 0.2661 0.6446 O
```

Main lines, by angle (2θ from 10° to 80°):
2θ 13.59, 6.517 Å, I 35; 2θ 18.14, 4.890 Å, I 19; 2θ 21.91, 4.056 Å, I 47; 2θ 26.94, 3.310 Å, I 100; 2θ 27.37, 3.258 Å, I 26; 2θ 32.18, 2.781 Å, I 18; 2θ 32.55, 2.751 Å, I 24; 2θ 34.27, 2.617 Å, I 17; 2θ 56.47, 1.630 Å, I 22; 2θ 57.60, 1.600 Å, I 19